[1]
Structure and theoretical powder X-ray diffraction pattern of Zr2Cd (a structure optimized by DFT (PBE); Cu Kα (λ = 1.5418 Å)).
Lines closer than 0.1° are merged.

Principal peaks in the range 2θ from 10° to 90°, by intensity:
2θ/deg, I/Imax
34.7, 100
41.3, 31
71.1, 23
57.6, 22
38.3, 19
67.0, 14
73.3, 11
59.8, 10
89.7, 3
82.0, 2
29.6, 1
25.3, 1

Cell and atoms:
```
Zr2Cd
1.0
3.092 0.000 0.000
0.000 3.092 0.000
0.000 0.000 14.101
Zr Cd
4 2
direct
0.000 0.000 0.169
0.000 0.000 0.831
0.500 0.500 0.331
0.500 0.500 0.669
0.000 0.000 0.500
0.500 0.500 0.000
```

=====

[2]
Structure and theoretical powder X-ray diffraction pattern of LaPm2Er6 (a structure optimized by DFT (PBE); Cu Kα (λ = 1.5418 Å)).
Lines closer than 0.1° are merged.

Principal peaks in the range 2θ from 10° to 90°, by intensity:
2θ/deg, I/Imax
31.0, 100
31.5, 98
31.2, 88
28.9, 74
32.5, 66
33.6, 60
28.5, 59
33.9, 58
33.2, 46
36.7, 30
27.8, 25
58.5, 25

Cell and atoms:
```
LaPm2Er6
1.0
6.439 -7.052 0.000
6.439 7.052 0.000
-1.434 0.000 6.437
La Pm Er
2 4 12
direct
0.122 0.878 0.750
0.878 0.122 0.250
0.331 0.386 0.628
0.386 0.331 0.128
0.614 0.669 0.872
0.669 0.614 0.372
0.048 0.221 0.820
0.058 0.463 0.265
0.221 0.048 0.320
0.279 0.654 0.001
0.346 0.721 0.499
0.463 0.058 0.765
0.537 0.942 0.235
0.654 0.279 0.501
0.721 0.346 0.999
0.779 0.952 0.680
0.942 0.537 0.735
0.952 0.779 0.180
```